# 1
Diffraction record for ZrTi3Ga. The powder X-ray diffraction pattern is theoretical, not measured: it uses a crystal structure in Alexandria, relaxed with GGA-PBE and λ = 1.5418 Å (Cu Kα).
No peak broadening, texture or thermal motion is included.

abc: 6.4503 6.4503 5.3730
angles: 90.00 90.00 120.00
Space group P6_3/mmc (No. 194)
Inequivalent atoms, fractional coordinates:
Zr 0.3333 0.6667 0.2500 (multiplicity 2)
Ti 0.1948 0.3896 0.7500 (multiplicity 6)
Ga 0.0000 0.0000 0.0000 (multiplicity 2)

Top 12 peaks for 2θ = 15–90°, in order of rising 2θ:
two_theta, I/Imax, hkl
27.66, 51, 1 1 0
33.35, 16, 0 0 2
36.25, 100, 2 0 1
37.14, 41, 1 0 2
42.83, 17, 2 1 0
46.20, 16, 2 1 1
46.93, 45, 2 0 2
57.12, 24, 2 2 0
61.51, 19, 2 0 3
70.10, 21, 0 0 4
76.92, 12, 4 0 2
83.59, 14, 3 2 2

***

# 2
Diffraction record for CaIn2Ga. The powder X-ray diffraction pattern is theoretical, not measured: it uses a crystal structure in Alexandria, relaxed with GGA-PBE and λ = 1.5418 Å (Cu Kα).
No peak broadening, texture or thermal motion is included.

abc: 8.264 8.236 6.017
angles: 90.00 90.00 90.00
Space group Pnma (No. 62)
Inequivalent atoms, fractional coordinates:
Ca 0.029 0.250 0.112 (multiplicity 4)
In 0.193 0.049 0.620 (multiplicity 8)
Ga 0.092 0.750 0.391 (multiplicity 4)

Top 12 peaks for 2θ = 15–90°, in order of rising 2θ:
two_theta, I/Imax, hkl
18.25, 75, 1 0 1
21.53, 42, 2 0 0
30.65, 97, 2 2 0
31.65, 68, 1 0 2
33.52, 53, 1 1 2
34.16, 61, 2 2 1
35.85, 48, 3 0 1
37.60, 88, 1 3 1
38.63, 100, 1 2 2
39.41, 32, 2 3 0
55.63, 31, 2 2 3
58.03, 30, 0 5 1

***

# 3
Diffraction record for Er6InAg. The powder X-ray diffraction pattern is theoretical, not measured: it uses a crystal structure in Alexandria, relaxed with GGA-PBE and λ = 1.5418 Å (Cu Kα).
No peak broadening, texture or thermal motion is included.

abc: 4.997 4.997 17.883
angles: 90.00 90.00 90.00
Space group I4/mmm (No. 139)
Inequivalent atoms, fractional coordinates:
Er 0.000 0.000 0.250 (multiplicity 4)
Er 0.000 0.500 0.112 (multiplicity 8)
In 0.000 0.000 0.000 (multiplicity 2)
Ag 0.000 0.000 0.500 (multiplicity 2)

Top 12 peaks for 2θ = 15–90°, in order of rising 2θ:
two_theta, I/Imax, hkl
32.29, 100, 1 1 4
35.94, 40, 2 0 0
40.35, 11, 0 0 8
51.74, 14, 2 2 0
55.13, 18, 2 0 8
57.78, 5, 1 1 10
62.32, 30, 3 1 4
67.58, 10, 2 2 8
68.31, 7, 1 1 12
85.20, 7, 3 3 4
87.25, 7, 4 2 0
89.97, 5, 4 0 8

***

# 4
Diffraction record for Ho2Ga3Au. The powder X-ray diffraction pattern is theoretical, not measured: it uses a crystal structure in Alexandria, relaxed with GGA-PBE and λ = 1.5418 Å (Cu Kα).
No peak broadening, texture or thermal motion is included.

abc: 10.392 4.474 7.150
angles: 90.00 132.43 90.00
Space group Cm (No. 8)
Inequivalent atoms, fractional coordinates:
Ho 0.000 0.000 0.000 (multiplicity 2)
Ho 0.074 0.000 0.581 (multiplicity 2)
Ga 0.202 0.500 0.407 (multiplicity 2)
Ga 0.374 0.000 0.587 (multiplicity 2)
Ga 0.379 0.000 0.186 (multiplicity 2)
Au 0.206 0.500 0.003 (multiplicity 2)

Top 12 peaks for 2θ = 15–90°, in order of rising 2θ:
two_theta, I/Imax, hkl
23.01, 18, 1 1 0
33.06, 36, 1 1 1
34.00, 100, 0 0 2
34.33, 86, 3 1 -2
34.61, 28, 4 0 -2
40.32, 51, 0 2 0
40.64, 80, 3 1 0
53.72, 22, 0 2 2
54.16, 15, 4 2 -2
67.81, 14, 7 1 -4
69.47, 15, 3 3 -2
73.51, 14, 3 3 0

***

# 5
Diffraction record for PrSiPt4. The powder X-ray diffraction pattern is theoretical, not measured: it uses a crystal structure in Alexandria, relaxed with GGA-PBE and λ = 1.5418 Å (Cu Kα).
No peak broadening, texture or thermal motion is included.

abc: 7.777 3.924 7.027
angles: 90.00 90.00 90.00
Space group Pmma (No. 51)
Inequivalent atoms, fractional coordinates:
Pr 0.250 0.000 0.127 (multiplicity 2)
Si 0.250 0.000 0.703 (multiplicity 2)
Pt 0.000 0.000 0.500 (multiplicity 2)
Pt 0.060 0.500 0.807 (multiplicity 4)
Pt 0.250 0.500 0.457 (multiplicity 2)

Top 12 peaks for 2θ = 15–90°, in order of rising 2θ:
two_theta, I/Imax, hkl
34.26, 14, 0 1 2
34.90, 100, 2 1 1
36.21, 35, 1 1 2
36.96, 27, 3 0 1
38.43, 33, 0 0 3
41.59, 69, 2 1 2
43.79, 15, 3 1 1
46.27, 32, 0 2 0
46.72, 13, 4 0 0
60.64, 13, 3 2 1
61.67, 17, 0 2 3
82.54, 18, 2 3 2

***

# 6
Diffraction record for In3AgPd4. The powder X-ray diffraction pattern is theoretical, not measured: it uses a crystal structure in Alexandria, relaxed with GGA-PBE and λ = 1.5418 Å (Cu Kα).
No peak broadening, texture or thermal motion is included.

abc: 9.472 6.267 4.727
angles: 90.00 90.00 90.00
Space group Pmma (No. 51)
Inequivalent atoms, fractional coordinates:
In 0.000 0.000 0.000 (multiplicity 2)
In 0.250 0.000 0.493 (multiplicity 2)
In 0.250 0.500 0.493 (multiplicity 2)
Ag 0.000 0.500 0.000 (multiplicity 2)
Pd 0.000 0.246 0.500 (multiplicity 4)
Pd 0.250 0.245 0.992 (multiplicity 4)

Top 9 peaks for 2θ = 15–90°, in order of rising 2θ:
two_theta, I/Imax, hkl
38.04, 55, 4 0 0
39.40, 100, 2 2 1
54.88, 19, 4 0 2
58.96, 7, 0 4 0
69.64, 35, 6 2 1
72.34, 16, 4 4 0
81.26, 3, 8 0 0
81.44, 3, 0 0 4
84.78, 10, 4 4 2

***

# 7
Diffraction record for FeSnI. The powder X-ray diffraction pattern is theoretical, not measured: it uses a crystal structure in Alexandria, relaxed with GGA-PBE and λ = 1.5418 Å (Cu Kα).
No peak broadening, texture or thermal motion is included.

abc: 4.084 5.531 6.805
angles: 77.60 89.95 90.00
Space group P-1 (No. 2)
Inequivalent atoms, fractional coordinates:
Fe 0.250 0.128 0.443 (multiplicity 2)
Sn 0.250 0.659 0.360 (multiplicity 2)
I 0.249 0.790 0.856 (multiplicity 2)

Top 12 peaks for 2θ = 15–90°, in order of rising 2θ:
two_theta, I/Imax, hkl
27.38, 78, 1 1 0
28.35, 26, 0 1 2
28.92, 25, -1 1 1
33.01, 26, 0 2 1
33.17, 19, 0 2 0
34.59, 33, 0 1 -2
34.80, 100, 1 0 -2
39.88, 12, -1 2 1
44.36, 55, 2 0 0
44.73, 27, 1 -2 1
66.38, 13, 1 1 -4
78.88, 12, 1 4 -1